[1]
Diffraction record for Mo9Se11. The X-ray diffraction stick pattern is calculated, not measured: it uses the PBE geometry in the Materials Project and Cu Ka.
Kinematic intensities with the Lorentz-polarization factor, no thermal factor.

Largest 10 diffraction maxima, most intense first, 2θ = 10–90°:
- d = 8.268 Å, intensity 100
- d = 6.860 Å, intensity 58
- d = 2.062 Å, intensity 57
- d = 2.148 Å, intensity 25
- d = 2.356 Å, intensity 18
- d = 3.109 Å, intensity 18
- d = 2.049 Å, intensity 17
- d = 2.485 Å, intensity 16
- d = 3.029 Å, intensity 15
- d = 2.785 Å, intensity 12

Cell: 9.5467 9.5467 12.2910 Å, 90.00 90.00 120.00°
Space group P6_3/m (No. 176)
Unique sites:
Mo  0.1606  0.6437  0.0612 x12
Mo  0.1785  0.4978  0.2500 x6
Se  0.0062  0.6362  0.2500 x6
Se  0.0405  0.3334  0.0783 x12
Se  0.3333  0.6667  0.6022 x4

[2]
Diffraction record for MoSe2. The X-ray diffraction stick pattern is calculated, not measured: it uses the PBE geometry in the Materials Project and Cu Ka.
Kinematic intensities with the Lorentz-polarization factor, no thermal factor.

Largest 10 diffraction maxima, most intense first, 2θ = 10–90°:
- d = 7.136 Å, intensity 100
- d = 2.242 Å, intensity 77
- d = 2.826 Å, intensity 51
- d = 1.664 Å, intensity 35
- d = 2.673 Å, intensity 34
- d = 2.028 Å, intensity 26
- d = 2.465 Å, intensity 22
- d = 1.217 Å, intensity 21
- d = 1.835 Å, intensity 19
- d = 1.336 Å, intensity 14

Cell: 3.3287 3.3287 14.2726 Å, 90.00 90.00 120.00°
Space group P6_3/mmc (No. 194)
Unique sites:
Mo  0.0000  0.0000  0.2500 x2
Se  0.3333  0.6667  0.1329 x4

[3]
Diffraction record for MoSe2. The X-ray diffraction stick pattern is calculated, not measured: it uses the PBE geometry in the Materials Project and Cu Ka.
Kinematic intensities with the Lorentz-polarization factor, no thermal factor.

Largest 10 diffraction maxima, most intense first, 2θ = 10–90°:
- d = 7.363 Å, intensity 100
- d = 2.414 Å, intensity 44
- d = 2.128 Å, intensity 44
- d = 2.858 Å, intensity 33
- d = 1.994 Å, intensity 27
- d = 1.664 Å, intensity 27
- d = 2.555 Å, intensity 26
- d = 2.789 Å, intensity 18
- d = 1.234 Å, intensity 16
- d = 1.623 Å, intensity 11

Cell: 3.3278 3.3278 22.0880 Å, 90.00 90.00 120.00°
Space group R3m (No. 160, hexagonal axes)
Unique sites:
Mo  0.0000  0.0000  0.0000 x3
Se  0.0000  0.0000  0.5909 x3
Se  0.0000  0.0000  0.7424 x3

[4]
Diffraction record for Mo3Se. The X-ray diffraction stick pattern is calculated, not measured: it uses the PBE geometry in the Materials Project and Cu Ka.
Kinematic intensities with the Lorentz-polarization factor, no thermal factor.

Largest 10 diffraction maxima, most intense first, 2θ = 10–90°:
- d = 2.245 Å, intensity 100
- d = 2.049 Å, intensity 62
- d = 1.342 Å, intensity 31
- d = 2.510 Å, intensity 29
- d = 1.392 Å, intensity 21
- d = 1.095 Å, intensity 21
- d = 1.255 Å, intensity 14
- d = 1.449 Å, intensity 9
- d = 1.122 Å, intensity 9
- d = 3.550 Å, intensity 2

Cell: 5.020 5.020 5.020 Å, 90.00 90.00 90.00°
Space group Pm-3n (No. 223)
Unique sites:
Mo  0.000  0.250  0.500 x6
Se  0.000  0.000  0.000 x2

[5]
Diffraction record for MoSe2. The X-ray diffraction stick pattern is calculated, not measured: it uses the PBE geometry in the Materials Project and Cu Ka.
Kinematic intensities with the Lorentz-polarization factor, no thermal factor.

Largest 10 diffraction maxima, most intense first, 2θ = 10–90°:
- d = 2.236 Å, intensity 100
- d = 2.416 Å, intensity 86
- d = 2.063 Å, intensity 71
- d = 2.844 Å, intensity 57
- d = 2.590 Å, intensity 43
- d = 1.656 Å, intensity 41
- d = 2.881 Å, intensity 41
- d = 1.902 Å, intensity 31
- d = 2.740 Å, intensity 27
- d = 1.663 Å, intensity 26

Cell: 3.3269 3.3269 17.7257 Å, 90.00 90.00 120.00°
Space group P-6m2 (No. 187)
Unique sites:
Mo  0.0000  0.0000  0.0000 x1
Se  0.3333  0.6667  0.0944 x2

[6]
Diffraction record for MoSe2. The X-ray diffraction stick pattern is calculated, not measured: it uses the PBE geometry in the Materials Project and Cu Ka.
Kinematic intensities with the Lorentz-polarization factor, no thermal factor.

Largest 10 diffraction maxima, most intense first, 2θ = 10–90°:
- d = 8.294 Å, intensity 100
- d = 2.083 Å, intensity 42
- d = 2.462 Å, intensity 29
- d = 2.175 Å, intensity 24
- d = 2.555 Å, intensity 23
- d = 2.881 Å, intensity 22
- d = 1.663 Å, intensity 21
- d = 6.635 Å, intensity 14
- d = 2.722 Å, intensity 11
- d = 1.300 Å, intensity 9

Cell: 3.3269 3.3269 33.1771 Å, 90.00 90.00 120.00°
Space group P-6m2 (No. 187)
Unique sites:
Mo  0.0000  0.0000  0.0000 x1
Mo  0.6667  0.3333  0.2329 x2
Se  0.0000  0.0000  0.1824 x2
Se  0.0000  0.0000  0.2833 x2
Se  0.6667  0.3333  0.0504 x2